(1)
PrZn5Ni2: simulated powder diffraction line list (λ = 1.5418 Å (Cu Kα)), based on a structure optimized by DFT (PBE).

Main lines, in order of rising 2θ (15° ≤ 2θ ≤ 90°):
2θ 31.29, I = 31
2θ 32.20, I = 27
2θ 35.04, I = 86
2θ 36.78, I = 100
2θ 38.61, I = 21
2θ 44.08, I = 25
2θ 46.06, I = 40
2θ 46.29, I = 45
2θ 48.40, I = 32
2θ 67.36, I = 28

Cell and atoms:
Lattice parameters (Å, degrees): 3.942 7.223 9.343 90.00 90.00 90.00
Positions (direct):
Pr 0.000 0.000 0.000
Pr 0.500 0.500 0.500
Zn 0.000 0.183 0.344
Zn 0.000 0.183 0.656
Zn 0.000 0.500 0.000
Zn 0.000 0.817 0.344
Zn 0.000 0.817 0.656
Zn 0.500 0.000 0.500
Zn 0.500 0.317 0.156
Zn 0.500 0.317 0.844
Zn 0.500 0.683 0.156
Zn 0.500 0.683 0.844
Ni 0.000 0.500 0.257
Ni 0.000 0.500 0.743
Ni 0.500 0.000 0.243
Ni 0.500 0.000 0.757

(2)
Pr2Zn5Ni3: simulated powder diffraction line list (λ = 1.5418 Å (Cu Kα)), based on a structure optimized by DFT (PBE).

Main lines, in order of rising 2θ (15° ≤ 2θ ≤ 90°):
2θ 31.56, I = 15
2θ 32.99, I = 51
2θ 35.58, I = 100
2θ 45.23, I = 49
2θ 45.82, I = 11
2θ 46.87, I = 25
2θ 57.11, I = 21
2θ 65.89, I = 15
2θ 67.18, I = 17
2θ 77.18, I = 20

Cell and atoms:
Lattice parameters (Å, degrees): 4.009 4.009 11.070 90.00 90.00 90.00
Positions (direct):
Pr 0.000 0.500 0.226
Pr 0.500 0.000 0.774
Zn 0.000 0.000 0.500
Zn 0.000 0.500 0.650
Zn 0.500 0.000 0.350
Zn 0.500 0.500 0.000
Zn 0.500 0.500 0.500
Ni 0.000 0.000 0.000
Ni 0.000 0.500 0.871
Ni 0.500 0.000 0.129

(3)
PrZn6Ni12: simulated powder diffraction line list (λ = 1.5418 Å (Cu Kα)), based on a structure optimized by DFT (PBE).

Main lines, in order of rising 2θ (15° ≤ 2θ ≤ 90°):
2θ 28.16, I = 42
2θ 34.10, I = 38
2θ 37.15, I = 77
2θ 37.30, I = 100
2θ 42.09, I = 22
2θ 44.70, I = 45
2θ 44.83, I = 47
2θ 48.83, I = 59
2θ 49.01, I = 51
2θ 55.27, I = 53

Cell and atoms:
Lattice parameters (Å, degrees): 6.648 6.648 6.648 104.34 104.34 104.34
Positions (direct):
Pr 0.000 0.000 0.000
Zn 0.286 0.286 0.708
Zn 0.286 0.708 0.286
Zn 0.292 0.714 0.714
Zn 0.708 0.286 0.286
Zn 0.714 0.292 0.714
Zn 0.714 0.714 0.292
Ni 0.110 0.500 0.890
Ni 0.110 0.890 0.500
Ni 0.133 0.382 0.382
Ni 0.382 0.133 0.382
Ni 0.382 0.382 0.133
Ni 0.500 0.110 0.890
Ni 0.500 0.890 0.110
Ni 0.618 0.618 0.867
Ni 0.618 0.867 0.618
Ni 0.867 0.618 0.618
Ni 0.890 0.110 0.500
Ni 0.890 0.500 0.110

(4)
Ni5Pt6: simulated powder diffraction line list (λ = 1.5418 Å (Cu Kα)), based on a structure optimized by DFT (PBE).

Main lines, in order of rising 2θ (15° ≤ 2θ ≤ 90°):
2θ 25.21, I = 29
2θ 32.87, I = 30
2θ 41.87, I = 100
2θ 47.17, I = 36
2θ 51.75, I = 13
2θ 54.23, I = 15
2θ 62.68, I = 10
2θ 68.92, I = 11
2θ 72.61, I = 19
2θ 84.01, I = 27

Cell and atoms:
Lattice parameters (Å, degrees): 4.461 5.449 6.495 90.00 94.69 90.00
Positions (direct):
Ni 0.000 0.000 0.000
Ni 0.336 0.000 0.667
Ni 0.339 0.500 0.666
Ni 0.661 0.500 0.334
Ni 0.664 0.000 0.333
Pt 0.161 0.253 0.328
Pt 0.161 0.747 0.328
Pt 0.500 0.254 0.000
Pt 0.500 0.746 0.000
Pt 0.839 0.253 0.672
Pt 0.839 0.747 0.672